Theoretical X-ray diffraction stick pattern
Compound: TlGe2
Radiation: Cu Ka
Structure: a cell relaxed with GGA-PBE
Peak positions follow from Bragg's law for the DFT cell and can differ from measured ones.

Main lines, in order of rising 2θ (2θ = 15–90°):
two_theta, I/Imax
18.66, 15
30.70, 65
36.17, 100
54.58, 27
58.20, 34
63.94, 25

Structure:
Unit cell a=5.8243 b=5.8243 c=5.8243 alpha=60.00 beta=60.00 gamma=60.00
Atoms (fractional coordinates):
Tl  0.1250  0.1250  0.1250
Tl  0.8750  0.8750  0.8750
Ge  0.0000  0.5000  0.5000
Ge  0.5000  0.0000  0.5000
Ge  0.5000  0.5000  0.0000
Ge  0.5000  0.5000  0.5000



Theoretical X-ray diffraction stick pattern
Compound: Tl3Ge
Radiation: Cu Ka
Structure: a cell relaxed with GGA-PBE
Peak positions follow from Bragg's law for the DFT cell and can differ from measured ones.

Main lines, in order of rising 2θ (2θ = 15–90°):
two_theta, I/Imax
27.57, 26
29.18, 17
33.81, 100
45.07, 11
57.47, 11
60.42, 15

Structure:
Unit cell a=6.9009 b=6.9009 c=6.9009 alpha=150.36 beta=55.04 gamma=134.74
Atoms (fractional coordinates):
Tl  0.0000  0.0000  0.0000
Tl  0.2887  0.4989  0.7898
Tl  0.7092  0.4989  0.2102
Ge  0.5000  0.0000  0.5000



- Number 2 is which compound?
  Tl3Ge